# Ba2MoClO4
Theoretical powder diffraction line list, Cu Ka. Input: a DFT-relaxed cell (GGA+U, Alexandria).
Lines closer than 0.1° are merged.

Cell and atoms:
a b c (Å): 5.4096 5.4096 10.1192
angles (deg): 111.62 111.62 37.56
Atoms (fractional coordinates):
Ba 0.1691 0.1691 0.2704
Ba 0.8309 0.8309 0.7296
Mo 0.0000 0.0000 0.5000
Cl 0.5000 0.5000 0.0000
O 0.1288 0.1288 0.6922
O 0.3945 0.3945 0.5420
O 0.6055 0.6055 0.4580
O 0.8712 0.8712 0.3078

Most intense lines, 2θ from 10° to 80°, by angle:
20.9°, I 60
24.2°, I 49
27.6°, I 47
30.2°, I 100
31.8°, I 42
37.8°, I 74
38.6°, I 54
52.6°, I 44